The following is a theoretical powder diffraction line list of CaLuMn2O6. It was derived from DFT lattice parameters and positions (GGA+U), using a wavelength of 1.5418 Å.
Peak positions follow from Bragg's law for the DFT cell and can differ from measured ones.

Crystal structure
a = 7.5107 Å, b = 5.5477 Å, c = 5.3001 Å
α = 90.00°, β = 90.00°, γ = 90.00°
Element x y z (fractional)
Ca 0.0000 0.1944 0.0000
Ca 0.5000 0.8056 0.5000
Lu 0.0000 0.6797 0.5342
Lu 0.5000 0.3203 0.0342
Mn 0.2503 0.2458 0.5130
Mn 0.2497 0.7542 0.0130
Mn 0.7497 0.2458 0.5130
Mn 0.7503 0.7542 0.0130
O 0.0000 0.2903 0.4226
O 0.0000 0.7793 0.1290
O 0.1951 0.9417 0.7019
O 0.1986 0.4621 0.8026
O 0.3014 0.5379 0.3026
O 0.3049 0.0583 0.2019
O 0.5000 0.2207 0.6290
O 0.5000 0.7097 0.9226
O 0.6951 0.0583 0.2019
O 0.6986 0.5379 0.3026
O 0.8014 0.4621 0.8026
O 0.8049 0.9417 0.7019

Largest 10 diffraction maxima, low angle first, 15° ≤ 2θ ≤ 90°:
| Position (°2θ) | I/Imax | hkl |
| --- | --- | --- |
| 19.90 | 322 | 1 1 0 |
| 20.51 | 392 | 1 0 1 |
| 26.10 | 190 | 1 1 1 |
| 32.27 | 190 | 0 2 0 |
| 33.41 | 1000 | 2 1 1 |
| 33.82 | 249 | 0 0 2 |
| 39.54 | 203 | 1 1 2 |
| 47.45 | 210 | 0 2 2 |
| 49.05 | 187 | 3 2 0 |
| 60.25 | 230 | 2 1 3 |